No. 1
Structure and calculated PXRD pattern of TbHoSi2Pd (a DFT-relaxed cell (GGA-PBE, OQMD); Cu Kα).
Peak positions follow from Bragg's law for the DFT cell and can differ from measured ones.

Structure:
a = 5.652 Å, b = 5.652 Å, c = 10.115 Å
α = 115.71°, β = 115.71°, γ = 44.26°
Element x y z (fractional)
Tb1 0.186 0.186 0.106
Tb2 0.814 0.814 0.894
Ho1 0.002 0.002 0.324
Ho2 0.998 0.998 0.676
Si1 0.367 0.367 0.435
Si2 0.481 0.481 0.114
Si3 0.519 0.519 0.886
Si4 0.633 0.633 0.565
Pd1 0.275 0.275 0.640
Pd2 0.725 0.725 0.360

Peak list (8 most intense, 2θ from 10° to 90°, sorted by position)
d_spacing  2theta  I (rel.)
3.868  22.99  42
2.679  33.45  100
2.651  33.82  66
2.621  34.20  38
2.418  37.18  42
2.200  41.02  50
2.129  42.46  41
1.567  58.94  26

***

No. 2
Structure and calculated PXRD pattern of HoTm2Sn3Pd3 (a DFT-relaxed cell (GGA-PBE, OQMD); Cu Kα).
Peak positions follow from Bragg's law for the DFT cell and can differ from measured ones.

Structure:
a = 3.832 Å, b = 7.628 Å, c = 7.628 Å
α = 120.12°, β = 90.00°, γ = 90.00°
Element x y z (fractional)
Ho1 0.000 0.000 0.000
Tm1 0.000 0.401 0.803
Tm2 0.000 0.803 0.401
Sn1 0.500 0.137 0.402
Sn2 0.500 0.402 0.137
Sn3 0.500 0.666 0.666
Pd1 0.000 0.403 0.403
Pd2 0.500 0.069 0.733
Pd3 0.500 0.733 0.069

Peak list (8 most intense, 2θ from 10° to 90°, sorted by position)
d_spacing  2theta  I (rel.)
2.703  33.15  100
2.501  35.91  87
2.494  36.01  27
2.201  41.01  41
2.091  43.27  18
1.916  47.45  21
1.445  64.48  21
1.409  66.32  20

***

No. 3
Structure and calculated PXRD pattern of Y3HoPd4 (a DFT-relaxed cell (GGA-PBE, OQMD); Cu Kα).
Peak positions follow from Bragg's law for the DFT cell and can differ from measured ones.

Structure:
a = 5.590 Å, b = 4.568 Å, c = 6.971 Å
α = 90.00°, β = 90.22°, γ = 90.00°
Element x y z (fractional)
Y1 0.000 0.000 0.000
Y2 0.215 0.000 0.500
Y3 0.501 0.500 0.865
Ho1 0.716 0.500 0.364
Pd1 0.009 0.500 0.721
Pd2 0.204 0.500 0.225
Pd3 0.513 0.000 0.145
Pd4 0.704 0.000 0.636

Peak list (8 most intense, 2θ from 10° to 90°, sorted by position)
d_spacing  2theta  I (rel.)
3.155  28.29  25
2.771  32.31  70
2.595  34.57  48
2.482  36.19  100
2.284  39.45  51
2.256  39.97  86
1.714  53.45  27
1.564  59.07  19

***

No. 4
Structure and calculated PXRD pattern of Ho2Zn3Pd4 (a DFT-relaxed cell (GGA-PBE, OQMD); Cu Kα).
Peak positions follow from Bragg's law for the DFT cell and can differ from measured ones.

Structure:
a = 8.049 Å, b = 8.049 Å, c = 7.628 Å
α = 90.00°, β = 90.00°, γ = 139.44°
Element x y z (fractional)
Ho1 0.113 0.887 0.919
Ho2 0.387 0.613 0.419
Ho3 0.613 0.387 0.581
Ho4 0.887 0.113 0.081
Zn1 0.000 0.000 0.500
Zn2 0.022 0.478 0.750
Zn3 0.478 0.022 0.250
Zn4 0.500 0.500 0.000
Zn5 0.522 0.978 0.750
Zn6 0.978 0.522 0.250
Pd1 0.177 0.823 0.525
Pd2 0.193 0.307 0.750
Pd3 0.307 0.193 0.250
Pd4 0.323 0.677 0.025
Pd5 0.677 0.323 0.975
Pd6 0.693 0.807 0.750
Pd7 0.807 0.693 0.250
Pd8 0.823 0.177 0.475

Peak list (8 most intense, 2θ from 10° to 90°, sorted by position)
d_spacing  2theta  I (rel.)
2.669  33.57  30
2.508  35.80  100
2.475  36.29  53
2.410  37.32  62
2.390  37.64  32
2.252  40.04  98
2.244  40.19  30
1.506  61.59  25